The following is a simulated powder XRD pattern of Pm3Nd8Y. It was derived from a DFT-relaxed cell (GGA-PBE, Alexandria), using Cu Kα X-rays.
Lines closer than 0.1° are merged.

The 10 most intense peaks (2θ from 5° to 70°), by angle:
- 2θ = 29.81°, intensity 100
- 2θ = 29.90°, intensity 33
- 2θ = 34.59°, intensity 67
- 2θ = 49.60°, intensity 16
- 2θ = 49.77°, intensity 32
- 2θ = 58.87°, intensity 5
- 2θ = 59.01°, intensity 24
- 2θ = 59.12°, intensity 19
- 2θ = 59.20°, intensity 10
- 2θ = 61.99°, intensity 8

Cell and atoms:
```
Pm3Nd8Y
1.0
6.342 0.000 0.000
1.040 6.280 0.000
0.015 3.214 10.511
Pm Nd Y
3 8 1
Direct
0.000 0.000 0.000
0.249 0.499 0.251
0.751 0.501 0.749
0.000 0.000 0.334
0.000 0.000 0.666
0.250 0.500 0.917
0.251 0.501 0.583
0.499 0.999 0.168
0.501 0.001 0.832
0.749 0.499 0.417
0.750 0.500 0.083
0.500 0.000 0.500
```

The following is a simulated powder XRD pattern of Pm3Nd3Y2. It was derived from a DFT-relaxed cell (GGA-PBE, Alexandria), using Cu Kα X-rays.
Lines closer than 0.1° are merged.

The 10 most intense peaks (2θ from 5° to 70°), by angle:
- 2θ = 8.61°, intensity 4
- 2θ = 25.92°, intensity 2
- 2θ = 30.05°, intensity 100
- 2θ = 34.78°, intensity 34
- 2θ = 34.95°, intensity 17
- 2θ = 50.00°, intensity 12
- 2θ = 50.13°, intensity 24
- 2θ = 59.45°, intensity 29
- 2θ = 59.68°, intensity 14
- 2θ = 62.46°, intensity 12

Cell and atoms:
```
Pm3Nd3Y2
1.0
-2.579 2.580 10.268
2.579 -2.580 10.268
2.579 2.580 -10.268
Pm Nd Y
3 3 2
Direct
0.000 0.000 0.000
0.374 0.874 0.500
0.626 0.126 0.500
0.126 0.626 0.500
0.500 0.500 0.000
0.874 0.374 0.500
0.250 0.250 0.000
0.750 0.750 0.000
```

The following is a simulated powder XRD pattern of Pm12Nd3Y. It was derived from a DFT-relaxed cell (GGA-PBE, Alexandria), using Cu Kα X-rays.
Lines closer than 0.1° are merged.

The 5 most intense peaks (2θ from 5° to 70°), by angle:
- 2θ = 29.97°, intensity 100
- 2θ = 34.75°, intensity 51
- 2θ = 49.96°, intensity 36
- 2θ = 59.36°, intensity 43
- 2θ = 62.28°, intensity 12

Cell and atoms:
```
Pm12Nd3Y
1.0
5.165 0.000 0.000
0.000 5.165 0.000
0.000 0.000 20.649
Pm Nd Y
12 3 1
Direct
0.000 0.000 0.000
0.000 0.000 0.249
0.000 0.000 0.500
0.000 0.000 0.751
0.000 0.500 0.124
0.000 0.500 0.375
0.000 0.500 0.625
0.000 0.500 0.876
0.500 0.000 0.124
0.500 0.000 0.375
0.500 0.000 0.625
0.500 0.000 0.876
0.500 0.500 0.249
0.500 0.500 0.500
0.500 0.500 0.751
0.500 0.500 0.000
```

Copy entry 3 word for word.
The following is a simulated powder XRD pattern of Pm12Nd3Y. It was derived from a DFT-relaxed cell (GGA-PBE, Alexandria), using Cu Kα X-rays.
Lines closer than 0.1° are merged.

The 5 most intense peaks (2θ from 5° to 70°), by angle:
- 2θ = 29.97°, intensity 100
- 2θ = 34.75°, intensity 51
- 2θ = 49.96°, intensity 36
- 2θ = 59.36°, intensity 43
- 2θ = 62.28°, intensity 12

Cell and atoms:
```
Pm12Nd3Y
1.0
5.165 0.000 0.000
0.000 5.165 0.000
0.000 0.000 20.649
Pm Nd Y
12 3 1
Direct
0.000 0.000 0.000
0.000 0.000 0.249
0.000 0.000 0.500
0.000 0.000 0.751
0.000 0.500 0.124
0.000 0.500 0.375
0.000 0.500 0.625
0.000 0.500 0.876
0.500 0.000 0.124
0.500 0.000 0.375
0.500 0.000 0.625
0.500 0.000 0.876
0.500 0.500 0.249
0.500 0.500 0.500
0.500 0.500 0.751
0.500 0.500 0.000
```